Diffraction record for LiSc2Tc. The PXRD pattern is theoretical, not measured: it uses DFT lattice parameters and positions (PBE) and Cu Kα.
No peak broadening, texture or thermal motion is included.

Crystal structure
Cell lengths 6.5912, 6.5912, 6.5912 Å; angles 90.00, 90.00, 90.00 degrees
Atoms (fractional coordinates):
Li 0.0000 0.0000 0.0000
Li 0.0000 0.5000 0.5000
Li 0.5000 0.0000 0.5000
Li 0.5000 0.5000 0.0000
Sc 0.2500 0.2500 0.2500
Sc 0.2500 0.2500 0.7500
Sc 0.2500 0.7500 0.2500
Sc 0.2500 0.7500 0.7500
Sc 0.7500 0.2500 0.2500
Sc 0.7500 0.2500 0.7500
Sc 0.7500 0.7500 0.2500
Sc 0.7500 0.7500 0.7500
Tc 0.0000 0.0000 0.5000
Tc 0.0000 0.5000 0.0000
Tc 0.5000 0.0000 0.0000
Tc 0.5000 0.5000 0.5000

Peak list (10 most intense, 2θ = 10–90°, low angle first)
| index | 2θ/deg | d_spacing | I_rel |
| --- | --- | --- | --- |
| 1 1 1 | 23.38 | 3.805 | 61 |
| 2 0 0 | 27.06 | 3.296 | 1 |
| 2 2 0 | 38.64 | 2.330 | 100 |
| 3 1 1 | 45.65 | 1.987 | 30 |
| 4 0 0 | 55.79 | 1.648 | 16 |
| 3 3 1 | 61.30 | 1.512 | 12 |
| 4 2 2 | 69.92 | 1.345 | 31 |
| 5 1 1 | 74.85 | 1.268 | 9 |
| 4 4 0 | 82.85 | 1.165 | 10 |
| 5 3 1 | 87.57 | 1.114 | 9 |